Diffraction record for Zn3Os4. The powder XRD pattern is theoretical, not measured: it uses a crystal structure in Alexandria, relaxed with GGA-PBE and Cu Kα (λ = 1.5418 Å).
Intensities are scaled so that the largest is 100.

Atomic structure:
abc: 4.709 4.709 5.080
angles: 90.00 90.00 120.00
Fractional positions:
Zn 0.000 0.500 0.000
Zn 0.500 0.000 0.000
Zn 0.500 0.500 0.000
Os 0.000 0.000 0.264
Os 0.000 0.000 0.736
Os 0.333 0.667 0.500
Os 0.667 0.333 0.500

Top 12 peaks for 10° ≤ 2θ ≤ 80°, in order of falling intensity:
2theta  intensity
41.9  100
38.2  75
42.3  57
71.6  41
48.1  23
44.4  17
69.1  14
17.5  14
72.6  12
58.0  12
71.9  12
21.8  9

=====

Diffraction record for Zr5Zn2Os. The powder XRD pattern is theoretical, not measured: it uses a crystal structure in Alexandria, relaxed with GGA-PBE and Cu Kα (λ = 1.5418 Å).
Intensities are scaled so that the largest is 100.

Atomic structure:
abc: 5.915 11.553 4.620
angles: 90.00 90.00 90.00
Fractional positions:
Zr 0.000 0.000 0.000
Zr 0.119 0.271 0.000
Zr 0.168 0.608 0.500
Zr 0.332 0.108 0.500
Zr 0.381 0.771 0.000
Zr 0.500 0.500 0.000
Zr 0.619 0.229 0.000
Zr 0.668 0.892 0.500
Zr 0.832 0.392 0.500
Zr 0.881 0.729 0.000
Zn 0.143 0.859 0.500
Zn 0.357 0.359 0.500
Zn 0.643 0.641 0.500
Zn 0.857 0.141 0.500
Os 0.000 0.500 0.000
Os 0.500 0.000 0.000

Top 12 peaks for 10° ≤ 2θ ≤ 80°, in order of falling intensity:
2theta  intensity
36.7  100
36.9  55
39.0  48
36.1  34
39.4  24
38.4  23
16.8  19
43.8  18
69.1  15
55.9  15
60.1  15
34.1  14

=====

Diffraction record for Zr7Os3. The powder XRD pattern is theoretical, not measured: it uses a crystal structure in Alexandria, relaxed with GGA-PBE and Cu Kα (λ = 1.5418 Å).
Intensities are scaled so that the largest is 100.

Atomic structure:
abc: 9.271 9.271 5.689
angles: 90.00 90.00 120.00
Fractional positions:
Zr 0.071 0.536 0.000
Zr 0.130 0.260 0.274
Zr 0.130 0.870 0.274
Zr 0.260 0.130 0.774
Zr 0.333 0.667 0.492
Zr 0.464 0.536 0.000
Zr 0.464 0.929 0.000
Zr 0.536 0.071 0.500
Zr 0.536 0.464 0.500
Zr 0.667 0.333 0.992
Zr 0.740 0.870 0.274
Zr 0.870 0.130 0.774
Zr 0.870 0.740 0.774
Zr 0.929 0.464 0.500
Os 0.188 0.375 0.743
Os 0.188 0.812 0.743
Os 0.375 0.188 0.243
Os 0.625 0.812 0.743
Os 0.812 0.188 0.243
Os 0.812 0.625 0.243

Top 12 peaks for 10° ≤ 2θ ≤ 80°, in order of falling intensity:
2theta  intensity
38.8  100
33.5  66
37.1  61
19.1  40
59.8  30
27.2  27
43.6  27
52.2  19
75.9  18
54.8  16
79.0  12
22.1  12

=====

Diffraction record for Zr2Os. The powder XRD pattern is theoretical, not measured: it uses a crystal structure in Alexandria, relaxed with GGA-PBE and Cu Kα (λ = 1.5418 Å).
Intensities are scaled so that the largest is 100.

Atomic structure:
abc: 8.818 8.818 8.818
angles: 60.00 60.00 60.00
Fractional positions:
Zr 0.000 0.000 0.000
Zr 0.000 0.000 0.500
Zr 0.000 0.500 0.000
Zr 0.186 0.186 0.564
Zr 0.186 0.564 0.186
Zr 0.186 0.564 0.564
Zr 0.436 0.436 0.814
Zr 0.436 0.814 0.436
Zr 0.436 0.814 0.814
Zr 0.500 0.000 0.000
Zr 0.564 0.186 0.186
Zr 0.564 0.186 0.564
Zr 0.564 0.564 0.186
Zr 0.814 0.436 0.436
Zr 0.814 0.436 0.814
Zr 0.814 0.814 0.436
Os 0.145 0.785 0.785
Os 0.215 0.215 0.215
Os 0.215 0.215 0.855
Os 0.215 0.855 0.215
Os 0.785 0.145 0.785
Os 0.785 0.785 0.145
Os 0.785 0.785 0.785
Os 0.855 0.215 0.215

Top 12 peaks for 10° ≤ 2θ ≤ 80°, in order of falling intensity:
2theta  intensity
37.5  100
40.9  26
63.3  26
12.3  21
35.3  20
24.7  18
75.9  17
43.5  15
69.0  12
56.7  9
64.7  8
52.4  7

=====

What did the first record say?
Diffraction record for Zn3Os4. The powder XRD pattern is theoretical, not measured: it uses a crystal structure in Alexandria, relaxed with GGA-PBE and Cu Kα (λ = 1.5418 Å).
Intensities are scaled so that the largest is 100.

Atomic structure:
abc: 4.709 4.709 5.080
angles: 90.00 90.00 120.00
Fractional positions:
Zn 0.000 0.500 0.000
Zn 0.500 0.000 0.000
Zn 0.500 0.500 0.000
Os 0.000 0.000 0.264
Os 0.000 0.000 0.736
Os 0.333 0.667 0.500
Os 0.667 0.333 0.500

Top 12 peaks for 10° ≤ 2θ ≤ 80°, in order of falling intensity:
2theta  intensity
41.9  100
38.2  75
42.3  57
71.6  41
48.1  23
44.4  17
69.1  14
17.5  14
72.6  12
58.0  12
71.9  12
21.8  9